For K2BaV2O7, a DFT-relaxed cell (GGA+U, Alexandria) gives the calculated powder diffraction line list in this record (Cu Kα (λ = 1.5418 Å)).

Cell and atoms:
```
data_K2BaV2O7
_chemical_formula_sum 'K6 Ba3 V6 O21'
_cell_length_a 6.1449
_cell_length_b 6.1449
_cell_length_c 24.2047
_cell_angle_alpha 90.00
_cell_angle_beta 90.00
_cell_angle_gamma 120.00
_symmetry_space_group_name_H-M 'R 3 2'
_symmetry_Int_Tables_number 155
_symmetry_space_group_name_Hall 'R 3 2"'
loop_
_atom_site_label
_atom_site_type_symbol
_atom_site_fract_x
_atom_site_fract_y
_atom_site_fract_z
K1 K 0.0000 0.0000 0.2236
Ba1 Ba 0.0000 0.0000 0.0000
V1 V 0.0000 0.0000 0.4246
O1 O 0.0000 0.0000 0.5000
O2 O 0.0430 0.2856 0.5968
```

Peak list (10 most intense, 15 to 90 degrees two-theta, in order of rising 2θ)
18.21°, I = 62
22.25°, I = 41
24.86°, I = 100
29.06°, I = 80
36.90°, I = 24
38.61°, I = 19
44.79°, I = 37
47.64°, I = 16
49.04°, I = 21
51.52°, I = 22